No. 1
Starting from DFT lattice parameters and positions (PBE), the PXRD pattern of NaNiH3 was simulated for Cu Kα, 1.54184 Å.

Peak list (10 most intense, 5 to 70 degrees two-theta, sorted by position)
Position (°2θ)	I_rel	index
17.23	65	0 0 4
29.55	54	1 0 1
32.06	75	1 0 3
34.87	41	0 0 8
36.62	100	1 0 5
41.81	27	1 1 0
45.53	41	1 1 4
49.80	23	1 0 9
55.54	19	1 1 8
66.51	19	1 0 13

Cell and atoms:
```
data_NaNiH3
_chemical_formula_sum 'Na4 Ni4 H12'
_space_group_name_H-M_alt 'I -4 m 2'
_space_group_IT_number 119
_space_group_name_Hall 'I -4 -2'
_cell_length_a 3.056
_cell_length_b 3.056
_cell_length_c 20.583
_cell_angle_alpha 90.00
_cell_angle_beta 90.00
_cell_angle_gamma 90.00
loop_
_atom_site_label
_atom_site_fract_x
_atom_site_fract_y
_atom_site_fract_z
_atom_site_occupancy
Na1 0.000 0.000 0.000 1
Na2 0.000 0.500 0.250 1
Ni1 0.000 0.500 0.634 1
H1 0.000 0.000 0.331 1
H2 0.000 0.169 0.111 1
```

***

No. 2
Starting from DFT lattice parameters and positions (PBE), the PXRD pattern of Na4NiH4 was simulated for Cu Kα, 1.54184 Å.

Peak list (10 most intense, 5 to 70 degrees two-theta, sorted by position)
Position (°2θ)	I_rel	index
17.43	27	1 1 0
22.34	19	1 0 1
33.59	100	2 1 1
37.67	20	0 0 2
39.62	31	1 3 0
42.17	8	3 0 1
55.81	21	1 3 2
57.27	11	4 2 0
65.41	13	2 1 3
68.06	21	5 0 1

Cell and atoms:
```
data_Na4NiH4
_chemical_formula_sum 'Na8 Ni2 H8'
_space_group_name_H-M_alt 'I 4/m'
_space_group_IT_number 87
_space_group_name_Hall '-I 4'
_cell_length_a 7.194
_cell_length_b 7.194
_cell_length_c 4.776
_cell_angle_alpha 90.00
_cell_angle_beta 90.00
_cell_angle_gamma 90.00
loop_
_atom_site_label
_atom_site_fract_x
_atom_site_fract_y
_atom_site_fract_z
_atom_site_occupancy
Na1 0.114 0.282 0.000 1
Ni1 0.000 0.000 0.500 1
H1 0.056 0.218 0.500 1
```